No. 1
The following is a simulated X-ray diffraction stick pattern of Li4Nb5V3O16. It was derived from DFT lattice parameters and positions (PBE+U), using Cu Kα.

Largest 8 diffraction maxima, sorted by position, 2θ = 10–90°:
2θ = 17.6°, rel. 55
2θ = 19.0°, rel. 100
2θ = 19.1°, rel. 87
2θ = 24.4°, rel. 38
2θ = 31.6°, rel. 60
2θ = 34.4°, rel. 62
2θ = 35.3°, rel. 59
2θ = 57.7°, rel. 35

Structure:
```
Li4Nb5V3O16
1.0
5.2802 -3.0257 0.0000
5.2802 3.0257 0.0000
-0.0280 0.0000 10.0685
Li Nb V O
4 5 3 16
direct
0.0000 0.0000 0.0000
0.0039 0.0039 0.5042
0.3365 0.3365 0.5842
0.6706 0.6706 0.0997
0.1809 0.1809 0.2683
0.3481 0.3481 0.9976
0.3776 0.8145 0.7773
0.6772 0.6772 0.4937
0.8145 0.3776 0.7773
0.1744 0.6636 0.2795
0.6636 0.1744 0.2795
0.8306 0.8306 0.7776
0.0035 0.0035 0.6875
0.0102 0.0102 0.1828
0.0391 0.4795 0.1461
0.1743 0.1743 0.8998
0.1752 0.6672 0.8966
0.3281 0.3281 0.3923
0.3434 0.8460 0.3946
0.4795 0.0391 0.1461
0.4789 0.4789 0.1381
0.5175 0.5175 0.6338
0.5174 0.9637 0.6449
0.6672 0.1752 0.8966
0.6810 0.6810 0.9119
0.8361 0.8361 0.4021
0.8460 0.3434 0.3946
0.9637 0.5174 0.6449
```

No. 2
The following is a simulated X-ray diffraction stick pattern of Li4NbV3O8. It was derived from DFT lattice parameters and positions (PBE+U), using Cu Kα.

Largest 8 diffraction maxima, sorted by position, 2θ = 10–90°:
2θ = 17.3°, rel. 100
2θ = 36.6°, rel. 40
2θ = 38.1°, rel. 13
2θ = 43.4°, rel. 74
2θ = 47.1°, rel. 17
2θ = 55.9°, rel. 12
2θ = 61.0°, rel. 23
2θ = 65.0°, rel. 19

Structure:
```
Li4NbV3O8
1.0
2.8693 1.6566 5.1154
-2.8693 1.6566 5.1154
0.0000 -3.3132 5.1154
Li Nb V O
4 1 3 8
direct
0.0000 0.0000 0.0000
0.0000 0.5000 0.5000
0.5000 0.0000 0.5000
0.5000 0.5000 0.0000
0.5000 0.5000 0.5000
0.0000 0.0000 0.5000
0.0000 0.5000 0.0000
0.5000 0.0000 0.0000
0.2424 0.2424 0.2424
0.2417 0.7523 0.7523
0.2477 0.2477 0.7583
0.2477 0.7583 0.2477
0.7523 0.2417 0.7523
0.7523 0.7523 0.2417
0.7583 0.2477 0.2477
0.7576 0.7576 0.7576
```

No. 3
The following is a simulated X-ray diffraction stick pattern of Li3NbV3O8. It was derived from DFT lattice parameters and positions (PBE+U), using Cu Kα.

Largest 8 diffraction maxima, sorted by position, 2θ = 10–90°:
2θ = 17.7°, rel. 100
2θ = 35.4°, rel. 40
2θ = 42.6°, rel. 68
2θ = 46.4°, rel. 14
2θ = 55.7°, rel. 14
2θ = 61.0°, rel. 20
2θ = 62.6°, rel. 19
2θ = 65.6°, rel. 14

Structure:
```
Li3NbV3O8
1.0
2.9674 1.7132 5.0223
-2.9674 1.7132 5.0223
0.0000 -3.4265 5.0223
Li Nb V O
3 1 3 8
direct
0.0000 0.5000 0.5000
0.5000 0.0000 0.5000
0.5000 0.5000 0.0000
0.5000 0.5000 0.5000
0.0000 0.0000 0.5000
0.0000 0.5000 0.0000
0.5000 0.0000 0.0000
0.2415 0.2415 0.2415
0.2489 0.7402 0.7402
0.2598 0.2598 0.7511
0.2598 0.7511 0.2598
0.7402 0.2489 0.7402
0.7402 0.7402 0.2489
0.7511 0.2598 0.2598
0.7585 0.7585 0.7585
```

No. 4
The following is a simulated X-ray diffraction stick pattern of Li2Nb2W2O13. It was derived from DFT lattice parameters and positions (PBE+U), using Cu Kα.

Largest 8 diffraction maxima, sorted by position, 2θ = 10–90°:
2θ = 14.5°, rel. 100
2θ = 27.9°, rel. 16
2θ = 28.2°, rel. 27
2θ = 29.2°, rel. 29
2θ = 29.4°, rel. 25
2θ = 34.1°, rel. 10
2θ = 37.1°, rel. 8
2θ = 48.7°, rel. 19

Structure:
```
Li2Nb2W2O13
1.0
-3.7027 3.7354 5.3124
3.7027 -3.7354 5.3124
3.7027 3.7354 -5.3124
Li Nb W O
2 2 2 13
direct
0.0000 0.2308 0.2308
0.0000 0.7692 0.7692
0.0460 0.8044 0.2415
0.5629 0.8044 0.7585
0.5554 0.3013 0.7459
0.5554 0.8095 0.2541
0.0477 0.5477 0.5000
0.2560 0.1374 0.5007
0.2560 0.7553 0.1186
0.2563 0.7563 0.5000
0.5098 0.5098 0.0000
0.5136 0.5036 0.6361
0.5136 0.8775 0.0100
0.6188 0.1188 0.5000
0.6367 0.1374 0.8814
0.6367 0.7553 0.4993
0.8675 0.5036 0.9900
0.8675 0.8775 0.3639
0.8951 0.8951 0.0000
```

No. 5
The following is a simulated X-ray diffraction stick pattern of LiNiO2. It was derived from DFT lattice parameters and positions (PBE+U), using Cu Kα.

Largest 8 diffraction maxima, sorted by position, 2θ = 10–90°:
2θ = 17.5°, rel. 75
2θ = 28.5°, rel. 100
2θ = 34.4°, rel. 13
2θ = 38.1°, rel. 11
2θ = 42.9°, rel. 31
2θ = 47.1°, rel. 21
2θ = 56.9°, rel. 11
2θ = 57.2°, rel. 31

Structure:
```
LiNiO2
1.0
2.6950 0.0000 0.0000
0.0000 3.2971 0.0000
0.0000 0.0000 10.1299
Li Ni O
2 2 4
direct
0.0000 0.0000 0.0000
0.5000 0.5000 0.5000
0.0000 0.0000 0.2645
0.5000 0.5000 0.7645
0.0000 0.5000 0.6414
0.0000 0.5000 0.8881
0.5000 0.0000 0.1414
0.5000 0.0000 0.3881
```

No. 6
The following is a simulated X-ray diffraction stick pattern of LiNiO2. It was derived from DFT lattice parameters and positions (PBE+U), using Cu Kα.

Largest 8 diffraction maxima, sorted by position, 2θ = 10–90°:
2θ = 18.2°, rel. 100
2θ = 36.0°, rel. 23
2θ = 37.8°, rel. 26
2θ = 41.2°, rel. 14
2θ = 44.8°, rel. 17
2θ = 46.4°, rel. 35
2θ = 60.7°, rel. 16
2θ = 63.5°, rel. 12

Structure:
```
LiNiO2
1.0
2.7878 0.0000 0.0000
0.0000 9.7328 0.0000
-1.3938 0.0000 2.5845
Li Ni O
2 2 4
direct
0.1587 0.0000 0.3153
0.8413 0.5000 0.6847
0.1642 0.2581 0.3293
0.8358 0.7581 0.6707
0.1944 0.6462 0.3878
0.4764 0.8704 0.9514
0.5236 0.3704 0.0486
0.8056 0.1462 0.6122
```

No. 7
The following is a simulated X-ray diffraction stick pattern of LiNi3O6. It was derived from DFT lattice parameters and positions (PBE+U), using Cu Kα.

Largest 8 diffraction maxima, sorted by position, 2θ = 10–90°:
2θ = 17.9°, rel. 100
2θ = 36.7°, rel. 11
2θ = 37.5°, rel. 19
2θ = 43.7°, rel. 15
2θ = 44.6°, rel. 29
2θ = 57.8°, rel. 10
2θ = 62.8°, rel. 11
2θ = 65.6°, rel. 8

Structure:
```
LiNi3O6
1.0
2.4817 -4.1881 0.0000
2.4817 4.1881 0.0000
-1.6998 0.0000 4.9495
Li Ni O
1 3 6
direct
0.0000 0.0000 0.0000
0.1666 0.8334 0.5000
0.5000 0.5000 0.5000
0.8334 0.1666 0.5000
0.0940 0.4253 0.3058
0.2048 0.2048 0.7082
0.4253 0.0940 0.3058
0.5747 0.9060 0.6942
0.7952 0.7952 0.2918
0.9060 0.5747 0.6942
```

No. 8
The following is a simulated X-ray diffraction stick pattern of LiNi9O13. It was derived from DFT lattice parameters and positions (PBE+U), using Cu Kα.

Largest 8 diffraction maxima, sorted by position, 2θ = 10–90°:
2θ = 11.1°, rel. 100
2θ = 18.1°, rel. 24
2θ = 19.6°, rel. 28
2θ = 33.8°, rel. 26
2θ = 35.6°, rel. 38
2θ = 35.9°, rel. 22
2θ = 36.0°, rel. 45
2θ = 36.2°, rel. 30

Structure:
```
LiNi9O13
1.0
2.8826 0.0000 0.0000
-1.4267 4.9584 0.0000
-0.0136 -2.6852 16.0046
Li Ni O
1 9 13
direct
0.0000 0.0000 0.0000
0.0498 0.0968 0.3276
0.1033 0.2013 0.5263
0.1583 0.3116 0.8896
0.2965 0.5914 0.2521
0.3903 0.7740 0.5985
0.5450 0.0881 0.1660
0.6882 0.3695 0.6901
0.7888 0.5745 0.0816
0.9660 0.9257 0.7651
0.0392 0.0716 0.6389
0.1690 0.3334 0.4266
0.1779 0.3521 0.1331
0.3372 0.6672 0.7117
0.4163 0.8315 0.0625
0.4377 0.8710 0.3556
0.4761 0.9472 0.4975
0.6270 0.2488 0.8020
0.6605 0.3200 0.2778
0.6787 0.3521 0.9683
0.7378 0.4675 0.5721
0.9274 0.8536 0.2172
0.9515 0.8966 0.8810
```